Entry 1:
Calculated powder X-ray diffraction pattern
Compound: HoErFe2Ni6B2
Radiation: Cu Kα
Structure: a GGA-PBE-relaxed structure
Lines closer than 0.1° are merged.

Principal peaks in the range 2θ from 10° to 90°, sorted by position:
- 32.92°, intensity 99.1, (1 0 2)
- 36.03°, intensity 30.8, (1 1 0)
- 41.85°, intensity 78.6, (2 0 0)
- 44.61°, intensity 100.0, (1 1 2)
- 62.82°, intensity 31.1, (2 1 2)
- 70.77°, intensity 24.1, (3 0 2)

Lattice parameters (Å, degrees): 4.9855 4.9855 7.0077 90.00 90.00 120.00
Space group P6/mmm (No. 191)
Asymmetric unit:
Ho  0.0000  0.0000  0.0000
Er  0.0000  0.0000  0.5000
Fe  0.3333  0.6667  0.0000
Ni  0.0000  0.5000  0.2933
B  0.3333  0.6667  0.5000

Entry 2:
Calculated powder X-ray diffraction pattern
Compound: HoErFe6Ni2B2
Radiation: Cu Kα
Structure: a GGA-PBE-relaxed structure
Lines closer than 0.1° are merged.

Principal peaks in the range 2θ from 10° to 90°, sorted by position:
- 32.75°, intensity 91.1, (1 0 2)
- 35.97°, intensity 34.6, (1 1 0)
- 41.77°, intensity 66.2, (2 0 0)
- 44.44°, intensity 100.0, (1 1 2)
- 62.62°, intensity 28.2, (2 1 2)
- 70.57°, intensity 24.0, (3 0 2)

Lattice parameters (Å, degrees): 4.9941 4.9941 7.0604 90.00 90.00 120.00
Space group P6/mmm (No. 191)
Asymmetric unit:
Ho  0.0000  0.0000  0.0000
Er  0.0000  0.0000  0.5000
Fe  0.0000  0.5000  0.2137
Ni  0.3333  0.6667  0.5000
B  0.3333  0.6667  0.0000

Entry 3:
Calculated powder X-ray diffraction pattern
Compound: ErFe3NiB
Radiation: Cu Kα
Structure: a GGA-PBE-relaxed structure
Lines closer than 0.1° are merged.

Principal peaks in the range 2θ from 10° to 90°, sorted by position:
- 32.78°, intensity 91.8, (1 0 2)
- 36.04°, intensity 34.7, (1 1 0)
- 41.86°, intensity 66.0, (2 0 0)
- 44.51°, intensity 100.0, (1 1 2)
- 62.74°, intensity 28.3, (2 1 2)
- 70.71°, intensity 24.0, (3 0 2)

Lattice parameters (Å, degrees): 4.9840 4.9840 7.0589 90.00 90.00 120.00
Space group P6/mmm (No. 191)
Asymmetric unit:
Er  0.0000  0.0000  0.0000
Er  0.0000  0.0000  0.5000
Fe  0.0000  0.5000  0.2137
Ni  0.3333  0.6667  0.5000
B  0.3333  0.6667  0.0000

Entry 4:
Calculated powder X-ray diffraction pattern
Compound: SmErFe6Ni2B2
Radiation: Cu Kα
Structure: a GGA-PBE-relaxed structure
Lines closer than 0.1° are merged.

Principal peaks in the range 2θ from 10° to 90°, sorted by position:
- 32.69°, intensity 87.8, (1 0 2)
- 35.72°, intensity 34.0, (1 1 0)
- 41.48°, intensity 67.2, (2 0 0)
- 44.26°, intensity 100.0, (1 1 2)
- 62.26°, intensity 27.4, (2 1 2)
- 70.12°, intensity 24.2, (3 0 2)

Lattice parameters (Å, degrees): 5.0279 5.0279 7.0483 90.00 90.00 120.00
Space group P6/mmm (No. 191)
Asymmetric unit:
Sm  0.0000  0.0000  0.0000
Er  0.0000  0.0000  0.5000
Fe  0.0000  0.5000  0.2884
Ni  0.3333  0.6667  0.0000
B  0.3333  0.6667  0.5000

Entry 5:
Calculated powder X-ray diffraction pattern
Compound: SmErFe2Ni6B2
Radiation: Cu Kα
Structure: a GGA-PBE-relaxed structure
Lines closer than 0.1° are merged.

Principal peaks in the range 2θ from 10° to 90°, sorted by position:
- 32.81°, intensity 95.7, (1 0 2)
- 35.73°, intensity 30.2, (1 1 0)
- 41.49°, intensity 80.2, (2 0 0)
- 44.36°, intensity 100.0, (1 1 2)
- 62.35°, intensity 30.3, (2 1 2)
- 70.21°, intensity 24.2, (3 0 2)

Lattice parameters (Å, degrees): 5.0259 5.0259 7.0101 90.00 90.00 120.00
Space group P6/mmm (No. 191)
Asymmetric unit:
Sm  0.0000  0.0000  0.0000
Er  0.0000  0.0000  0.5000
Fe  0.3333  0.6667  0.0000
Ni  0.0000  0.5000  0.2956
B  0.3333  0.6667  0.5000

Entry 6:
Calculated powder X-ray diffraction pattern
Compound: SmErFe2Ni6B2
Radiation: Cu Kα
Structure: a GGA-PBE-relaxed structure
Lines closer than 0.1° are merged.

Principal peaks in the range 2θ from 10° to 90°, sorted by position:
- 32.79°, intensity 96.3, (1 0 2)
- 35.68°, intensity 29.9, (1 1 0)
- 41.43°, intensity 79.3, (2 0 0)
- 44.31°, intensity 100.0, (1 1 2)
- 62.27°, intensity 30.5, (2 1 2)
- 70.12°, intensity 24.2, (3 0 2)

Lattice parameters (Å, degrees): 5.0327 5.0327 7.0113 90.00 90.00 120.00
Space group P6/mmm (No. 191)
Asymmetric unit:
Sm  0.0000  0.0000  0.0000
Er  0.0000  0.0000  0.5000
Fe  0.3333  0.6667  0.5000
Ni  0.0000  0.5000  0.2086
B  0.3333  0.6667  0.0000

Please write out number 2 again, unchanged.
Calculated powder X-ray diffraction pattern
Compound: HoErFe6Ni2B2
Radiation: Cu Kα
Structure: a GGA-PBE-relaxed structure
Lines closer than 0.1° are merged.

Principal peaks in the range 2θ from 10° to 90°, sorted by position:
- 32.75°, intensity 91.1, (1 0 2)
- 35.97°, intensity 34.6, (1 1 0)
- 41.77°, intensity 66.2, (2 0 0)
- 44.44°, intensity 100.0, (1 1 2)
- 62.62°, intensity 28.2, (2 1 2)
- 70.57°, intensity 24.0, (3 0 2)

Lattice parameters (Å, degrees): 4.9941 4.9941 7.0604 90.00 90.00 120.00
Space group P6/mmm (No. 191)
Asymmetric unit:
Ho  0.0000  0.0000  0.0000
Er  0.0000  0.0000  0.5000
Fe  0.0000  0.5000  0.2137
Ni  0.3333  0.6667  0.5000
B  0.3333  0.6667  0.0000